# 1
Starting from a crystal structure in Alexandria, relaxed with PBE, the PXRD pattern of ZnSnF6 was computed for Cu Kα.
Peak positions follow from Bragg's law for the DFT cell and can differ from measured ones.

Main lines, in order of falling intensity (10° ≤ 2θ ≤ 80°):
Position (°2θ)	I (rel.)
27.25	100
52.02	40
19.85	37
21.92	34
44.70	26
57.82	25
34.73	20
39.63	17
62.26	15
79.85	10

```
ZnSnF6
1.0
5.166 0.000 0.000
-2.583 4.474 0.000
0.000 0.000 9.599
Zn Sn F
2 2 12
direct
0.333 0.667 0.250 Zn
0.667 0.333 0.750 Zn
0.000 0.000 0.000 Sn
0.000 0.000 0.500 Sn
0.032 0.331 0.122 F
0.032 0.701 0.378 F
0.299 0.331 0.378 F
0.299 0.968 0.122 F
0.331 0.032 0.622 F
0.331 0.299 0.878 F
0.669 0.701 0.122 F
0.669 0.968 0.378 F
0.701 0.032 0.878 F
0.701 0.669 0.622 F
0.968 0.299 0.622 F
0.968 0.669 0.878 F
```


# 2
Starting from a crystal structure in Alexandria, relaxed with PBE, the PXRD pattern of Zn4SnF8 was computed for Cu Kα.
Peak positions follow from Bragg's law for the DFT cell and can differ from measured ones.

Main lines, in order of falling intensity (10° ≤ 2θ ≤ 80°):
Position (°2θ)	I (rel.)
31.35	100
50.09	52
54.89	48
16.22	44
18.76	30
26.65	25
38.04	24
77.48	20
32.79	19
64.59	14

```
Zn4SnF8
1.0
0.000 4.731 4.731
4.731 0.000 4.731
4.731 4.731 0.000
Zn Sn F
4 1 8
direct
0.121 0.121 0.121 Zn
0.121 0.121 0.637 Zn
0.121 0.637 0.121 Zn
0.637 0.121 0.121 Zn
0.500 0.500 0.500 Sn
0.311 0.896 0.896 F
0.353 0.353 0.353 F
0.353 0.353 0.941 F
0.353 0.941 0.353 F
0.896 0.311 0.896 F
0.896 0.896 0.311 F
0.896 0.896 0.896 F
0.941 0.353 0.353 F
```


# 3
Starting from a crystal structure in Alexandria, relaxed with PBE, the PXRD pattern of ZnSn2F6 was computed for Cu Kα.
Peak positions follow from Bragg's law for the DFT cell and can differ from measured ones.

Main lines, in order of falling intensity (10° ≤ 2θ ≤ 80°):
Position (°2θ)	I (rel.)
29.80	100
17.08	77
26.35	72
19.10	50
30.22	48
37.04	46
37.53	46
21.73	38
34.52	29
52.62	26

```
ZnSn2F6
1.0
3.479 0.000 0.000
-1.680 5.243 0.000
-0.060 -1.108 7.919
Zn Sn F
1 2 6
direct
0.000 0.000 0.000 Zn
0.254 0.483 0.713 Sn
0.746 0.517 0.287 Sn
0.106 0.209 0.234 F
0.340 0.683 0.482 F
0.393 0.777 0.050 F
0.607 0.223 0.950 F
0.660 0.317 0.518 F
0.894 0.791 0.766 F
```


# 4
Starting from a crystal structure in Alexandria, relaxed with PBE, the PXRD pattern of ZnSn3F9 was computed for Cu Kα.
Peak positions follow from Bragg's law for the DFT cell and can differ from measured ones.

Main lines, in order of falling intensity (10° ≤ 2θ ≤ 80°):
Position (°2θ)	I (rel.)
23.23	100
23.67	54
23.80	51
30.35	38
28.91	37
21.46	28
17.36	24
47.64	21
24.33	20
43.75	20

```
ZnSn3F9
1.0
8.837 -2.911 0.000
8.837 2.911 0.000
-5.974 0.000 8.822
Zn Sn F
2 6 18
direct
0.169 0.831 0.500 Zn
0.831 0.169 0.000 Zn
0.126 0.231 0.418 Sn
0.231 0.126 0.918 Sn
0.324 0.541 0.126 Sn
0.541 0.324 0.626 Sn
0.708 0.833 0.755 Sn
0.833 0.708 0.255 Sn
0.055 0.578 0.903 F
0.076 0.156 0.032 F
0.098 0.918 0.141 F
0.156 0.076 0.532 F
0.170 0.585 0.484 F
0.210 0.392 0.125 F
0.392 0.210 0.625 F
0.422 0.571 0.362 F
0.459 0.642 0.669 F
0.571 0.422 0.862 F
0.578 0.055 0.403 F
0.585 0.170 0.984 F
0.588 0.854 0.042 F
0.642 0.459 0.169 F
0.854 0.588 0.542 F
0.882 0.923 0.799 F
0.918 0.098 0.641 F
0.923 0.882 0.299 F
```


# 5
Starting from a crystal structure in Alexandria, relaxed with PBE, the PXRD pattern of SrF was computed for Cu Kα.
Peak positions follow from Bragg's law for the DFT cell and can differ from measured ones.

Main lines, in order of falling intensity (10° ≤ 2θ ≤ 80°):
Position (°2θ)	I (rel.)
25.73	100
42.44	36
50.82	30
30.06	20
49.76	13
16.13	11
67.85	10
29.24	10
42.97	9
43.10	9

```
SrF
1.0
4.210 0.000 0.000
0.000 12.593 0.000
0.000 0.000 6.108
Sr F
6 6
direct
0.000 0.000 0.000 Sr
0.000 0.331 0.949 Sr
0.000 0.669 0.949 Sr
0.500 0.169 0.449 Sr
0.500 0.500 0.500 Sr
0.500 0.831 0.449 Sr
0.000 0.172 0.209 F
0.000 0.500 0.724 F
0.000 0.828 0.209 F
0.500 0.000 0.224 F
0.500 0.328 0.709 F
0.500 0.672 0.709 F
```


# 6
Starting from a crystal structure in Alexandria, relaxed with PBE, the PXRD pattern of SrF6 was computed for Cu Kα.
Peak positions follow from Bragg's law for the DFT cell and can differ from measured ones.

Main lines, in order of falling intensity (10° ≤ 2θ ≤ 80°):
Position (°2θ)	I (rel.)
36.23	100
56.71	49
29.41	45
20.68	27
69.18	13
61.03	11
73.08	11
47.33	8
65.17	5
42.08	5

```
SrF6
1.0
6.073 0.000 0.000
0.000 6.073 0.000
0.000 0.000 6.073
Sr F
2 12
direct
0.000 0.000 0.000 Sr
0.500 0.500 0.500 Sr
0.000 0.250 0.500 F
0.000 0.500 0.250 F
0.000 0.500 0.750 F
0.000 0.750 0.500 F
0.250 0.000 0.500 F
0.250 0.500 0.000 F
0.500 0.000 0.250 F
0.500 0.000 0.750 F
0.500 0.250 0.000 F
0.500 0.750 0.000 F
0.750 0.000 0.500 F
0.750 0.500 0.000 F
```


# 7
Starting from a crystal structure in Alexandria, relaxed with PBE, the PXRD pattern of Sr2F5 was computed for Cu Kα.
Peak positions follow from Bragg's law for the DFT cell and can differ from measured ones.

Main lines, in order of falling intensity (10° ≤ 2θ ≤ 80°):
Position (°2θ)	I (rel.)
26.84	100
38.94	43
47.78	30
48.07	28
47.21	27
47.06	27
27.39	18
27.15	16
76.57	15
63.40	12

```
Sr2F5
1.0
-3.285 6.513 2.387
3.285 -6.513 2.387
3.285 6.513 -2.387
Sr F
4 10
direct
0.117 0.232 0.349 Sr
0.383 0.732 0.115 Sr
0.617 0.268 0.885 Sr
0.883 0.768 0.651 Sr
0.016 0.750 0.266 F
0.076 0.858 0.934 F
0.250 0.750 0.500 F
0.424 0.358 0.782 F
0.484 0.750 0.734 F
0.516 0.250 0.266 F
0.576 0.642 0.218 F
0.750 0.250 0.500 F
0.924 0.142 0.066 F
0.984 0.250 0.734 F
```


# 8
Starting from a crystal structure in Alexandria, relaxed with PBE, the PXRD pattern of SrTaF7 was computed for Cu Kα.
Peak positions follow from Bragg's law for the DFT cell and can differ from measured ones.

Main lines, in order of falling intensity (10° ≤ 2θ ≤ 80°):
Position (°2θ)	I (rel.)
24.59	100
26.09	85
24.31	61
17.80	48
26.20	33
43.88	29
45.28	28
44.14	27
47.07	23
17.90	22

```
SrTaF7
1.0
4.970 0.000 0.000
0.000 7.322 0.000
-0.541 0.000 6.803
Sr Ta F
2 2 14
direct
0.029 0.250 0.316 Sr
0.971 0.750 0.684 Sr
0.469 0.250 0.780 Ta
0.531 0.750 0.220 Ta
0.180 0.250 0.956 F
0.195 0.077 0.641 F
0.195 0.423 0.641 F
0.323 0.527 0.219 F
0.323 0.973 0.219 F
0.340 0.750 0.953 F
0.416 0.750 0.496 F
0.584 0.250 0.504 F
0.660 0.250 0.047 F
0.677 0.027 0.781 F
0.677 0.473 0.781 F
0.805 0.577 0.359 F
0.805 0.923 0.359 F
0.820 0.750 0.044 F
```


# 9
Starting from a crystal structure in Alexandria, relaxed with PBE, the PXRD pattern of SrTe2F11 was computed for Cu Kα.
Peak positions follow from Bragg's law for the DFT cell and can differ from measured ones.

Main lines, in order of falling intensity (10° ≤ 2θ ≤ 80°):
Position (°2θ)	I (rel.)
22.39	100
22.04	97
20.85	96
43.22	66
16.21	64
24.45	54
24.87	47
42.42	46
44.32	26
46.67	24

```
SrTe2F11
1.0
-4.737 4.880 5.469
4.737 -4.880 5.469
4.737 4.880 -5.469
Sr Te F
2 4 22
direct
0.250 0.250 0.000 Sr
0.750 0.750 0.000 Sr
0.169 0.665 0.835 Te
0.331 0.165 0.496 Te
0.669 0.835 0.504 Te
0.831 0.335 0.165 Te
0.000 0.500 0.500 F
0.051 0.344 0.139 F
0.080 0.950 0.289 F
0.161 0.450 0.871 F
0.198 0.312 0.510 F
0.205 0.912 0.861 F
0.295 0.156 0.707 F
0.302 0.812 0.114 F
0.339 0.209 0.289 F
0.420 0.709 0.871 F
0.449 0.588 0.293 F
0.500 0.000 0.500 F
0.551 0.412 0.707 F
0.580 0.291 0.129 F
0.661 0.791 0.711 F
0.698 0.188 0.886 F
0.705 0.844 0.293 F
0.795 0.088 0.139 F
0.802 0.688 0.490 F
0.839 0.550 0.129 F
0.920 0.050 0.711 F
0.949 0.656 0.861 F
```


# 10
Starting from a crystal structure in Alexandria, relaxed with PBE, the PXRD pattern of SrTl2F8 was computed for Cu Kα.
Peak positions follow from Bragg's law for the DFT cell and can differ from measured ones.

Main lines, in order of falling intensity (10° ≤ 2θ ≤ 80°):
Position (°2θ)	I (rel.)
27.66	100
14.85	53
45.20	44
23.20	31
55.78	30
47.42	20
51.80	18
38.23	17
36.40	16
33.04	14

```
SrTl2F8
1.0
-2.711 2.711 5.964
2.711 -2.711 5.964
2.711 2.711 -5.964
Sr Tl F
1 2 8
direct
0.000 0.000 0.000 Sr
0.250 0.750 0.500 Tl
0.750 0.250 0.500 Tl
0.105 0.105 0.491 F
0.105 0.614 0.000 F
0.386 0.386 0.491 F
0.386 0.895 0.000 F
0.614 0.105 0.000 F
0.614 0.614 0.509 F
0.895 0.386 0.000 F
0.895 0.895 0.509 F
```